# Pr6Ag5Ge
Theoretical powder diffractogram, copper Kα. Input: a PBE-relaxed structure.

Structural model:
abc: 5.3077 16.0499 7.5423
angles: 90.00 90.00 90.00
Space group Cmmm (No. 65)
Unique sites:
Pr 0.0000 0.0000 0.2432
Pr 0.0000 0.3374 0.2467
Ag 0.0000 0.1702 0.5000
Ag 0.0000 0.1744 0.0000
Ag 0.0000 0.5000 0.5000
Ge 0.0000 0.5000 0.0000

Largest 6 diffraction maxima, in order of rising 2θ, 2θ = 15–90°:
33.50 deg, rel. 248; 33.62 deg, rel. 1000; 33.77 deg, rel. 249; 48.29 deg, rel. 264; 59.99 deg, rel. 263; 60.32 deg, rel. 180